Entry 1:
Starting from a PBE-relaxed structure, the XRD peak list of Zn2FeCu5 was simulated for CuKα.
Kinematic intensities with the Lorentz-polarization factor, no thermal factor.

Largest 6 diffraction maxima, low angle first, 2θ = 15–90°:
d (Å)	2theta	Rel. int.	h k l
2.052	44.14	100	1 1 2
2.046	44.27	50	2 0 0
1.455	63.98	8	0 0 4
1.447	64.40	15	2 2 0
1.186	81.10	15	2 0 4
1.182	81.39	29	3 1 2

Atomic structure:
```
data_Zn2FeCu5
_cell_length_a 4.092
_cell_length_b 4.092
_cell_length_c 5.821
_cell_angle_alpha 90.00
_cell_angle_beta 90.00
_cell_angle_gamma 90.00
_symmetry_space_group_name_H-M 'P 4/m m m'
_symmetry_Int_Tables_number 123
_symmetry_space_group_name_Hall '-P 4 2'
loop_
_atom_site_label
_atom_site_type_symbol
_atom_site_fract_x
_atom_site_fract_y
_atom_site_fract_z
Zn1 Zn 0.000 0.000 0.000
Zn2 Zn 0.500 0.500 0.500
Fe1 Fe 0.000 0.000 0.500
Cu1 Cu 0.000 0.500 0.253
Cu2 Cu 0.500 0.500 0.000
```

---

Entry 2:
Starting from a PBE-relaxed structure, the XRD peak list of GaCu was simulated for CuKα.
Kinematic intensities with the Lorentz-polarization factor, no thermal factor.

Largest 8 diffraction maxima, low angle first, 2θ = 15–90°:
d (Å)	2theta	Rel. int.	h k l
4.383	20.26	18	1 0 0
4.180	21.25	20	0 0 1
2.530	35.48	20	1 1 0
2.191	41.20	25	2 0 0
2.165	41.73	23	1 1 1
2.090	43.29	31	0 0 2
1.941	46.81	100	2 0 1
1.176	81.94	18	2 0 3

Atomic structure:
```
data_GaCu
_cell_length_a 5.0605
_cell_length_b 5.0605
_cell_length_c 4.1802
_cell_angle_alpha 90.00
_cell_angle_beta 90.00
_cell_angle_gamma 120.00
_symmetry_space_group_name_H-M 'P 6/m m m'
_symmetry_Int_Tables_number 191
_symmetry_space_group_name_Hall '-P 6 2'
loop_
_atom_site_label
_atom_site_type_symbol
_atom_site_fract_x
_atom_site_fract_y
_atom_site_fract_z
Ga1 Ga 0.0000 0.0000 0.0000
Ga2 Ga 0.3333 0.6667 0.5000
Cu1 Cu 0.0000 0.5000 0.0000
```

---

Entry 3:
Starting from a PBE-relaxed structure, the XRD peak list of Ga9Cu2 was simulated for CuKα.
Kinematic intensities with the Lorentz-polarization factor, no thermal factor.

Largest 8 diffraction maxima, low angle first, 2θ = 15–90°:
d (Å)	2theta	Rel. int.	h k l
3.757	23.68	14	2 1 1
2.656	33.74	12	2 2 2
2.459	36.54	36	3 2 1
2.169	41.64	100	3 3 0
1.534	60.36	16	6 0 0
1.420	65.77	10	5 4 1
1.169	82.55	13	7 3 2
1.133	85.79	11	5 5 4

Atomic structure:
```
data_Ga9Cu2
_cell_length_a 9.202
_cell_length_b 9.202
_cell_length_c 9.202
_cell_angle_alpha 90.00
_cell_angle_beta 90.00
_cell_angle_gamma 90.00
_symmetry_space_group_name_H-M 'I -4 3 m'
_symmetry_Int_Tables_number 217
_symmetry_space_group_name_Hall 'I -4 2 3'
loop_
_atom_site_label
_atom_site_type_symbol
_atom_site_fract_x
_atom_site_fract_y
_atom_site_fract_z
Ga1 Ga 0.000 0.000 0.235
Ga2 Ga 0.019 0.337 0.663
Cu1 Cu 0.202 0.202 0.202
```

---

Entry 4:
Starting from a PBE-relaxed structure, the XRD peak list of GaCu2 was simulated for CuKα.
Kinematic intensities with the Lorentz-polarization factor, no thermal factor.

Largest 8 diffraction maxima, low angle first, 2θ = 15–90°:
d (Å)	2theta	Rel. int.	h k l
2.103	43.01	100	1 0 3
2.098	43.11	97	2 0 0
1.487	62.43	10	0 2 4
1.484	62.58	19	2 2 2
1.285	73.74	6	0 4 0
1.214	78.85	19	2 2 4
1.212	79.02	20	3 0 3
1.096	89.37	24	2 4 0

Atomic structure:
```
data_GaCu2
_cell_length_a 4.195
_cell_length_b 5.140
_cell_length_c 7.296
_cell_angle_alpha 90.00
_cell_angle_beta 90.00
_cell_angle_gamma 90.00
_symmetry_space_group_name_H-M 'I m m a'
_symmetry_Int_Tables_number 74
_symmetry_space_group_name_Hall '-I 2b 2'
loop_
_atom_site_label
_atom_site_type_symbol
_atom_site_fract_x
_atom_site_fract_y
_atom_site_fract_z
Ga1 Ga 0.000 0.250 0.005
Cu1 Cu 0.000 0.001 0.666
```

---

Entry 5:
Starting from a PBE-relaxed structure, the XRD peak list of GaCu15 was simulated for CuKα.
Kinematic intensities with the Lorentz-polarization factor, no thermal factor.

Largest 8 diffraction maxima, low angle first, 2θ = 15–90°:
d (Å)	2theta	Rel. int.	h k l
2.126	42.53	61	0 1 13
2.081	43.50	100	2 1 0
2.023	44.81	38	0 1 14
1.830	49.84	37	2 0 13
1.805	50.56	31	0 2 0
1.763	51.87	23	2 0 14
1.285	73.71	21	2 2 13
1.261	75.34	13	2 2 14

Atomic structure:
```
data_GaCu15
_cell_length_a 5.095
_cell_length_b 3.612
_cell_length_c 34.180
_cell_angle_alpha 90.00
_cell_angle_beta 90.03
_cell_angle_gamma 90.00
_symmetry_space_group_name_H-M 'P 1 21/m 1'
_symmetry_Int_Tables_number 11
loop_
_symmetry_equiv_pos_as_xyz
'x,y,z'
'-x,-y,-z'
'-x,y+1/2,-z'
'x,-y+1/2,z'
loop_
_atom_site_label
_atom_site_type_symbol
_atom_site_fract_x
_atom_site_fract_y
_atom_site_fract_z
Ga1 Ga 0.125 0.250 0.282
Cu1 Cu 0.125 0.250 0.056
Cu2 Cu 0.125 0.250 0.130
Cu3 Cu 0.125 0.250 0.205
Cu4 Cu 0.125 0.250 0.832
Cu5 Cu 0.125 0.250 0.906
Cu6 Cu 0.125 0.250 0.981
Cu7 Cu 0.126 0.250 0.756
Cu8 Cu 0.375 0.750 0.019
Cu9 Cu 0.375 0.750 0.093
Cu10 Cu 0.375 0.750 0.168
Cu11 Cu 0.375 0.750 0.720
Cu12 Cu 0.375 0.750 0.795
Cu13 Cu 0.375 0.750 0.869
Cu14 Cu 0.375 0.750 0.944
Cu15 Cu 0.376 0.750 0.244
```